No. 1
Starting from DFT lattice parameters and positions (PBE), the powder diffraction line list of La3SbI was calculated for Cu Ka.
Intensities are scaled so that the largest is 100.

Crystal structure
abc: 4.384 9.896 11.067
angles: 113.52 90.58 102.53
Space group P-1 (No. 2)
Unique sites:
La 0.016 0.028 0.175 (multiplicity 2)
La 0.196 0.379 0.577 (multiplicity 2)
La 0.352 0.705 0.928 (multiplicity 2)
Sb 0.365 0.736 0.645 (multiplicity 2)
I 0.157 0.322 0.848 (multiplicity 2)

Largest 10 diffraction maxima, by intensity, 2θ = 10–90°:
h k l, Position (°2θ), I/Imax
1 -3 0, 32.6, 100
1 0 -3, 32.1, 91
1 -1 3, 32.4, 85
0 3 0, 30.5, 62
0 1 -1, 10.3, 57
2 -1 0, 41.2, 54
0 3 -3, 31.1, 52
1 2 1, 36.6, 48
1 0 1, 23.6, 47
-1 1 1, 23.4, 44

No. 2
Starting from DFT lattice parameters and positions (PBE), the powder diffraction line list of Tb4Ho6Mg was calculated for Cu Ka.
Intensities are scaled so that the largest is 100.

Crystal structure
abc: 6.459 6.459 16.990
angles: 90.00 90.00 90.00
Space group I-42m (No. 121)
Unique sites:
Tb 0.184 0.184 0.329 (multiplicity 8)
Ho 0.000 0.500 0.000 (multiplicity 4)
Ho 0.175 0.175 0.132 (multiplicity 8)
Mg 0.000 0.000 0.500 (multiplicity 2)

Largest 10 diffraction maxima, by intensity, 2θ = 10–90°:
h k l, Position (°2θ), I/Imax
2 1 1, 31.4, 100
2 0 4, 34.9, 66
2 1 5, 41.0, 55
1 1 4, 28.7, 45
2 0 2, 29.6, 43
1 1 2, 22.1, 32
0 0 6, 31.6, 31
4 1 1, 59.2, 26
3 1 0, 44.4, 26
1 1 6, 37.4, 22

No. 3
Starting from DFT lattice parameters and positions (PBE), the powder diffraction line list of Ce2Y5Tm12 was calculated for Cu Ka.
Intensities are scaled so that the largest is 100.

Crystal structure
abc: 15.372 9.082 8.539
angles: 90.00 92.84 90.00
Space group C2/m (No. 12)
Unique sites:
Ce 0.000 0.151 0.000 (multiplicity 4)
Y 0.000 0.500 0.500 (multiplicity 2)
Y 0.215 0.000 0.036 (multiplicity 4)
Y 0.232 0.500 0.563 (multiplicity 4)
Tm 0.058 0.000 0.343 (multiplicity 4)
Tm 0.067 0.500 0.871 (multiplicity 4)
Tm 0.132 0.191 0.685 (multiplicity 8)
Tm 0.145 0.321 0.239 (multiplicity 8)

Largest 10 diffraction maxima, by intensity, 2θ = 10–90°:
h k l, Position (°2θ), I/Imax
5 1 -1, 32.0, 100
4 0 2, 32.1, 57
1 1 -3, 33.3, 48
3 3 1, 36.3, 38
2 2 -2, 30.6, 37
4 2 0, 30.5, 33
0 2 2, 28.7, 20
3 3 4, 56.5, 19
4 2 -2, 36.5, 17
1 3 -1, 31.8, 17